# ZnFe2O5
Simulated XRD peak list, copper Kα. Input: the GGA+U geometry in the Materials Project.
Neutral-atom scattering factors, no anomalous dispersion.

Crystal structure
```
data_ZnFe2O5
_chemical_formula_sum 'Zn2 Fe4 O10'
_cell_length_a 3.2951
_cell_length_b 11.8424
_cell_length_c 5.0481
_cell_angle_alpha 90.00
_cell_angle_beta 90.00
_cell_angle_gamma 90.00
_symmetry_space_group_name_H-M 'P m m n'
_symmetry_Int_Tables_number 59
loop_
_symmetry_equiv_pos_as_xyz
'x,y,z'
'-x,-y,-z'
'-x+1/2,-y+1/2,z'
'x+1/2,y+1/2,-z'
'x+1/2,-y,-z'
'-x+1/2,y,z'
'-x,y+1/2,-z'
'x,-y+1/2,z'
loop_
_atom_site_label
_atom_site_type_symbol
_atom_site_fract_x
_atom_site_fract_y
_atom_site_fract_z
Zn1 Zn 0.2500 0.2500 0.0962
Fe1 Fe 0.2500 0.6023 0.4407
O1 O 0.2500 0.0638 0.3743
O2 O 0.2500 0.6592 0.0958
O3 O 0.2500 0.7500 0.6052
```

Largest 10 diffraction maxima, low angle first, 10° ≤ 2θ ≤ 80°:
2θ (°), intensity
17.57, 35
23.15, 100
28.71, 27
32.45, 51
33.34, 78
35.14, 44
35.51, 81
47.93, 45
55.36, 26
64.62, 35